[1]
Bi5Au3: simulated XRD peak list (a wavelength of 1.5418 Å), based on a GGA-PBE-relaxed structure.
Peak positions follow from Bragg's law for the DFT cell and can differ from measured ones.

```
data_Bi5Au3
_space_group_name_H-M_alt 'P b a m'
_space_group_IT_number 55
_cell_length_a 7.913
_cell_length_b 12.871
_cell_length_c 4.313
_cell_angle_alpha 90.00
_cell_angle_beta 90.00
_cell_angle_gamma 90.00
loop_
_space_group_symop_operation_xyz
'x,y,z'
'-x,-y,-z'
'-x,-y,z'
'x,y,-z'
'x+1/2,-y+1/2,-z'
'-x+1/2,y+1/2,z'
'-x+1/2,y+1/2,-z'
'x+1/2,-y+1/2,z'
loop_
_atom_site_label
_atom_site_type_symbol
_atom_site_fract_x
_atom_site_fract_y
_atom_site_fract_z
Bi1 Bi 0.000 0.000 0.000
Bi2 Bi 0.180 0.393 0.500
Bi3 Bi 0.187 0.693 0.000
Au1 Au 0.000 0.500 0.000
Au2 Au 0.040 0.179 0.500
```

Peak list (12 most intense, 15 to 90 degrees two-theta, by angle)
- 2θ 27.33, intensity 61, (1 2 1)
- 2θ 29.98, intensity 34, (1 4 0)
- 2θ 31.48, intensity 91, (2 1 1)
- 2θ 33.75, intensity 100, (2 2 1)
- 2θ 34.77, intensity 68, (0 4 1)
- 2θ 40.13, intensity 24, (3 3 0)
- 2θ 41.89, intensity 49, (0 0 2)
- 2θ 42.49, intensity 37, (1 5 1)
- 2θ 52.86, intensity 16, (4 2 1)
- 2θ 59.41, intensity 16, (3 3 2)
- 2θ 66.37, intensity 26, (2 8 1)
- 2θ 73.62, intensity 16, (0 10 0)

***

[2]
Bi3Au2: simulated XRD peak list (a wavelength of 1.5418 Å), based on a GGA-PBE-relaxed structure.
Peak positions follow from Bragg's law for the DFT cell and can differ from measured ones.

```
data_Bi3Au2
_space_group_name_H-M_alt 'C 1 2/c 1'
_space_group_IT_number 15
_cell_length_a 11.577
_cell_length_b 7.980
_cell_length_c 7.208
_cell_angle_alpha 90.00
_cell_angle_beta 120.00
_cell_angle_gamma 90.00
loop_
_space_group_symop_operation_xyz
'x,y,z'
'-x,-y,-z'
'-x,y,-z+1/2'
'x,-y,z+1/2'
'x+1/2,y+1/2,z'
'-x+1/2,-y+1/2,-z'
'-x+1/2,y+1/2,-z+1/2'
'x+1/2,-y+1/2,z+1/2'
loop_
_atom_site_label
_atom_site_type_symbol
_atom_site_fract_x
_atom_site_fract_y
_atom_site_fract_z
Bi1 Bi 0.000 0.077 0.250
Bi2 Bi 0.176 0.438 0.064
Au1 Au 0.085 0.253 0.647
```

Peak list (12 most intense, 15 to 90 degrees two-theta, by angle)
- 2θ 16.67, intensity 15, (1 1 -1)
- 2θ 25.66, intensity 22, (3 1 -1)
- 2θ 27.69, intensity 97, (1 1 -2)
- 2θ 28.96, intensity 54, (3 1 0)
- 2θ 33.70, intensity 15, (2 2 -2)
- 2θ 39.57, intensity 100, (1 3 1)
- 2θ 40.00, intensity 42, (4 2 -2)
- 2θ 41.01, intensity 37, (2 0 2)
- 2θ 41.39, intensity 27, (5 1 -1)
- 2θ 48.58, intensity 15, (2 4 -1)
- 2θ 57.18, intensity 25, (2 2 -4)
- 2θ 60.02, intensity 14, (6 2 0)